(1)
Starting from a GGA-PBE-relaxed structure, the X-ray diffraction stick pattern of AgSb3PbS6 was simulated for a wavelength of 1.5418 Å.
Intensities are scaled so that the largest is 1000.

Principal peaks in the range 2θ = 5–70°, in order of falling intensity:
(1 1 1), 2θ 21.3, I = 1000; (1 1 -3), 2θ 24.2, I = 930; (2 1 -1), 2θ 28.0, I = 807; (0 0 4), 2θ 24.1, I = 807; (0 0 2), 2θ 12.0, I = 576; (2 1 3), 2θ 37.8, I = 499; (0 2 4), 2θ 39.2, I = 497; (1 0 -2), 2θ 14.6, I = 481; (1 2 -3), 2θ 36.1, I = 464; (1 0 2), 2θ 19.3, I = 449

Atomic structure:
```
data_AgSb3PbS6
_chemical_formula_sum 'Ag2 Sb6 Pb2 S12'
_symmetry_space_group_name_H-M 'P 1 c 1'
_symmetry_Int_Tables_number 7
_symmetry_space_group_name_Hall 'P -2yc'
_cell_length_a 7.5863
_cell_length_b 5.8643
_cell_length_c 15.3380
_cell_angle_alpha 90.00
_cell_angle_beta 105.89
_cell_angle_gamma 90.00
loop_
_atom_site_label
_atom_site_type_symbol
_atom_site_fract_x
_atom_site_fract_y
_atom_site_fract_z
_atom_site_occupancy
Ag1 Ag 0.0000 0.1790 0.0000 1
Sb1 Sb 0.5917 0.3147 0.3226 1
Sb2 Sb 0.6097 0.2878 0.0392 1
Sb3 Sb 0.9182 0.2659 0.7592 1
Pb1 Pb 0.2451 0.3248 0.5653 1
S1 S 0.0417 0.4708 0.1725 1
S2 S 0.3305 0.1764 0.0856 1
S3 S 0.3999 0.4668 0.9016 1
S4 S 0.5806 0.3284 0.7154 1
S5 S 0.7291 0.0680 0.4899 1
S6 S 0.9152 0.4564 0.3870 1
```

(2)
Starting from a GGA-PBE-relaxed structure, the X-ray diffraction stick pattern of AgSbTe16Pb14 was simulated for a wavelength of 1.5418 Å.
Intensities are scaled so that the largest is 1000.

Principal peaks in the range 2θ = 5–70°, in order of falling intensity:
(2 2 0), 2θ 27.3, I = 1000; (2 2 8), 2θ 39.3, I = 759; (0 0 8), 2θ 27.7, I = 477; (4 0 8), 2θ 48.5, I = 415; (4 0 0), 2θ 39.0, I = 392; (6 2 0), 2θ 63.7, I = 186; (4 4 8), 2θ 63.9, I = 182; (2 2 16), 2θ 64.4, I = 171; (4 4 0), 2θ 56.3, I = 135; (2 0 4), 2θ 23.7, I = 130

Atomic structure:
```
data_AgSbTe16Pb14
_chemical_formula_sum 'Ag2 Sb2 Te32 Pb28'
_symmetry_space_group_name_H-M 'I 4/m m m'
_symmetry_Int_Tables_number 139
_symmetry_space_group_name_Hall '-I 4 2'
_cell_length_a 9.2394
_cell_length_b 9.2394
_cell_length_c 25.7986
_cell_angle_alpha 90.00
_cell_angle_beta 90.00
_cell_angle_gamma 90.00
loop_
_atom_site_label
_atom_site_type_symbol
_atom_site_fract_x
_atom_site_fract_y
_atom_site_fract_z
_atom_site_occupancy
Ag1 Ag 0.0000 0.0000 0.0000 1
Sb1 Sb 0.0000 0.0000 0.5000 1
Te1 Te 0.0000 0.0000 0.1156 1
Te2 Te 0.0000 0.0000 0.3795 1
Te3 Te 0.0000 0.5000 0.1250 1
Te4 Te 0.2426 0.2426 0.5000 1
Te5 Te 0.2500 0.2500 0.2500 1
Pb1 Pb 0.0000 0.0000 0.2476 1
Pb2 Pb 0.0000 0.5000 0.0000 1
Pb3 Pb 0.0000 0.5000 0.2500 1
Pb4 Pb 0.2493 0.2493 0.1240 1
```

(3)
Starting from a GGA-PBE-relaxed structure, the X-ray diffraction stick pattern of TbAgPb was simulated for a wavelength of 1.5418 Å.
Intensities are scaled so that the largest is 1000.

Principal peaks in the range 2θ = 5–70°, in order of falling intensity:
(1 0 2), 2θ 31.9, I = 1000; (1 1 0), 2θ 37.2, I = 886; (2 0 2), 2θ 49.8, I = 290; (1 0 1), 2θ 24.3, I = 280; (2 1 2), 2θ 63.8, I = 276; (1 0 3), 2θ 41.9, I = 273; (1 1 4), 2θ 62.5, I = 161; (3 0 0), 2θ 67.0, I = 158; (1 0 5), 2θ 65.8, I = 111; (2 0 3), 2θ 57.3, I = 109

Atomic structure:
```
data_TbAgPb
_chemical_formula_sum 'Tb2 Ag2 Pb2'
_symmetry_space_group_name_H-M 'P 63 m c'
_symmetry_Int_Tables_number 186
_symmetry_space_group_name_Hall 'P 6c -2c'
_cell_length_a 4.8368
_cell_length_b 4.8368
_cell_length_c 7.5406
_cell_angle_alpha 90.00
_cell_angle_beta 90.00
_cell_angle_gamma 120.00
loop_
_atom_site_label
_atom_site_type_symbol
_atom_site_fract_x
_atom_site_fract_y
_atom_site_fract_z
_atom_site_occupancy
Tb1 Tb 0.0000 0.0000 0.0000 1
Ag1 Ag 0.3333 0.6667 0.1851 1
Pb1 Pb 0.3333 0.6667 0.7799 1
```

(4)
Starting from a GGA-PBE-relaxed structure, the X-ray diffraction stick pattern of YAgPb was simulated for a wavelength of 1.5418 Å.
Intensities are scaled so that the largest is 1000.

Principal peaks in the range 2θ = 5–70°, in order of falling intensity:
(2 0 1), 2θ 33.6, I = 1000; (2 1 1), 2θ 41.4, I = 536; (1 1 1), 2θ 30.7, I = 451; (1 1 0), 2θ 23.5, I = 370; (3 0 0), 2θ 41.2, I = 333; (0 0 2), 2θ 39.5, I = 309; (3 2 1), 2θ 65.2, I = 256; (3 0 2), 2θ 58.4, I = 241; (2 1 0), 2θ 36.2, I = 232; (1 0 1), 2θ 23.8, I = 215

Atomic structure:
```
data_YAgPb
_chemical_formula_sum 'Y3 Ag3 Pb3'
_symmetry_space_group_name_H-M 'P -6 2 m'
_symmetry_Int_Tables_number 189
_symmetry_space_group_name_Hall 'P -6 -2'
_cell_length_a 7.5818
_cell_length_b 7.5818
_cell_length_c 4.5605
_cell_angle_alpha 90.00
_cell_angle_beta 90.00
_cell_angle_gamma 120.00
loop_
_atom_site_label
_atom_site_type_symbol
_atom_site_fract_x
_atom_site_fract_y
_atom_site_fract_z
_atom_site_occupancy
Y1 Y 0.0000 0.4259 0.0000 1
Ag1 Ag 0.0000 0.7525 0.5000 1
Pb1 Pb 0.0000 0.0000 0.0000 1
Pb2 Pb 0.3333 0.6667 0.5000 1
```

(5)
Starting from a GGA-PBE-relaxed structure, the X-ray diffraction stick pattern of Ag3Pd was simulated for a wavelength of 1.5418 Å.
Intensities are scaled so that the largest is 1000.

Principal peaks in the range 2θ = 5–70°, in order of falling intensity:
(1 1 2), 2θ 38.0, I = 1000; (2 0 0), 2θ 44.0, I = 324; (2 0 4), 2θ 64.2, I = 200; (0 0 4), 2θ 44.3, I = 159; (2 2 0), 2θ 64.0, I = 101

Atomic structure:
```
data_Ag3Pd
_chemical_formula_sum 'Ag6 Pd2'
_symmetry_space_group_name_H-M 'I 4/m m m'
_symmetry_Int_Tables_number 139
_symmetry_space_group_name_Hall '-I 4 2'
_cell_length_a 4.1144
_cell_length_b 4.1144
_cell_length_c 8.1784
_cell_angle_alpha 90.00
_cell_angle_beta 90.00
_cell_angle_gamma 90.00
loop_
_atom_site_label
_atom_site_type_symbol
_atom_site_fract_x
_atom_site_fract_y
_atom_site_fract_z
_atom_site_occupancy
Ag1 Ag 0.0000 0.0000 0.0000 1
Ag2 Ag 0.0000 0.5000 0.2500 1
Pd1 Pd 0.0000 0.0000 0.5000 1
```

(6)
Starting from a GGA-PBE-relaxed structure, the X-ray diffraction stick pattern of Ag3Pd was simulated for a wavelength of 1.5418 Å.
Intensities are scaled so that the largest is 1000.

Principal peaks in the range 2θ = 5–70°, in order of falling intensity:
(2 0 1), 2θ 40.7, I = 1000; (0 0 2), 2θ 37.8, I = 275; (2 0 0), 2θ 35.8, I = 240; (2 2 0), 2θ 64.4, I = 161; (2 0 2), 2θ 53.1, I = 149

Atomic structure:
```
data_Ag3Pd
_chemical_formula_sum 'Ag6 Pd2'
_symmetry_space_group_name_H-M 'P 63/m m c'
_symmetry_Int_Tables_number 194
_symmetry_space_group_name_Hall '-P 6c 2c'
_cell_length_a 5.7852
_cell_length_b 5.7852
_cell_length_c 4.7613
_cell_angle_alpha 90.00
_cell_angle_beta 90.00
_cell_angle_gamma 120.00
loop_
_atom_site_label
_atom_site_type_symbol
_atom_site_fract_x
_atom_site_fract_y
_atom_site_fract_z
_atom_site_occupancy
Ag1 Ag 0.1679 0.3358 0.2500 1
Pd1 Pd 0.3333 0.6667 0.7500 1
```

(7)
Starting from a GGA-PBE-relaxed structure, the X-ray diffraction stick pattern of SrAg3Pd2 was simulated for a wavelength of 1.5418 Å.
Intensities are scaled so that the largest is 1000.

Principal peaks in the range 2θ = 5–70°, in order of falling intensity:
(1 1 1), 2θ 37.5, I = 1000; (2 0 1), 2θ 42.0, I = 527; (0 0 2), 2θ 38.8, I = 358; (1 0 0), 2θ 18.3, I = 317; (2 0 0), 2θ 37.0, I = 300; (3 0 1), 2θ 60.6, I = 237; (2 2 0), 2θ 66.7, I = 206; (2 0 2), 2θ 54.7, I = 183; (1 1 0), 2θ 31.9, I = 165; (1 1 3), 2θ 69.4, I = 157

Atomic structure:
```
data_SrAg3Pd2
_chemical_formula_sum 'Sr1 Ag3 Pd2'
_symmetry_space_group_name_H-M 'P 6/m m m'
_symmetry_Int_Tables_number 191
_symmetry_space_group_name_Hall '-P 6 2'
_cell_length_a 5.6063
_cell_length_b 5.6063
_cell_length_c 4.6415
_cell_angle_alpha 90.00
_cell_angle_beta 90.00
_cell_angle_gamma 120.00
loop_
_atom_site_label
_atom_site_type_symbol
_atom_site_fract_x
_atom_site_fract_y
_atom_site_fract_z
_atom_site_occupancy
Sr1 Sr 0.0000 0.0000 0.0000 1
Ag1 Ag 0.0000 0.5000 0.5000 1
Pd1 Pd 0.3333 0.6667 0.0000 1
```

(8)
Starting from a GGA-PBE-relaxed structure, the X-ray diffraction stick pattern of Th4AgPd was simulated for a wavelength of 1.5418 Å.
Intensities are scaled so that the largest is 1000.

Principal peaks in the range 2θ = 5–70°, in order of falling intensity:
(2 1 1), 2θ 30.7, I = 1000; (3 1 0), 2θ 38.2, I = 295; (2 1 3), 2θ 53.7, I = 217; (2 0 2), 2θ 38.7, I = 206; (3 3 2), 2θ 61.2, I = 186; (1 1 2), 2θ 34.6, I = 183; (4 1 1), 2θ 52.9, I = 159; (5 2 1), 2θ 69.7, I = 130; (0 0 2), 2θ 30.0, I = 128; (4 0 2), 2θ 58.4, I = 114

Atomic structure:
```
data_Th4AgPd
_chemical_formula_sum 'Th8 Ag2 Pd2'
_symmetry_space_group_name_H-M 'I 4 2 2'
_symmetry_Int_Tables_number 97
_symmetry_space_group_name_Hall 'I 4 2'
_cell_length_a 7.4546
_cell_length_b 7.4546
_cell_length_c 5.9616
_cell_angle_alpha 90.00
_cell_angle_beta 90.00
_cell_angle_gamma 90.00
loop_
_atom_site_label
_atom_site_type_symbol
_atom_site_fract_x
_atom_site_fract_y
_atom_site_fract_z
_atom_site_occupancy
Th1 Th 0.1594 0.3406 0.2500 1
Ag1 Ag 0.0000 0.0000 0.5000 1
Pd1 Pd 0.0000 0.0000 0.0000 1
```